Theoretical X-ray powder pattern
Compound: RbUAlO5
Radiation: Cu Ka
Structure: a crystal structure in Alexandria, relaxed with PBE

The 12 most intense peaks (2θ = 10–90°), sorted by position:
2θ = 16.13°, intensity 100
2θ = 18.27°, intensity 28
2θ = 23.91°, intensity 100
2θ = 26.75°, intensity 52
2θ = 30.71°, intensity 61
2θ = 30.82°, intensity 45
2θ = 32.81°, intensity 29
2θ = 34.37°, intensity 24
2θ = 37.92°, intensity 23
2θ = 44.98°, intensity 29
2θ = 49.78°, intensity 19
2θ = 54.17°, intensity 20

Structure:
```
RbUAlO5
1.0
3.7322 -4.8550 0.0000
3.7322 4.8550 0.0000
-3.6462 0.0000 7.2353
Rb U Al O
2 2 2 10
Cartesian
0.9976 3.2355 5.4265
2.8207 -3.2355 1.8088
3.7322 0.0000 0.0000
1.9091 0.0000 3.6177
2.8207 2.9976 1.8088
0.9976 -2.9976 5.4265
-1.6923 0.7543 6.4041
1.7594 1.9230 2.8000
0.1308 -0.7543 2.7864
3.8819 1.9230 0.8177
0.9976 0.5539 5.4265
2.8207 -0.5539 1.8088
-0.0637 -1.9230 6.4176
3.6874 0.7543 4.4489
2.0588 -1.9230 4.4353
5.5105 -0.7543 0.8312
```